The following is a simulated X-ray diffraction stick pattern of La5SiPb2. It was derived from a PBE-relaxed structure, using Cu Kα (weighted mean of Kα1 and Kα2).
Intensities are scaled so that the largest is 100.

Top 10 peaks for 10 to 90 degrees two-theta, sorted by position:
- d 7.155, rel. 17
- d 3.108, rel. 100
- d 3.044, rel. 60
- d 3.018, rel. 91
- d 2.872, rel. 53
- d 2.788, rel. 17
- d 2.697, rel. 19
- d 2.614, rel. 18
- d 2.409, rel. 41
- d 1.889, rel. 30

Cell and atoms:
abc: 8.564 13.021 4.817
angles: 90.00 90.00 90.00
Atoms (fractional coordinates):
La 0.000 0.000 0.000
La 0.147 0.292 0.000
La 0.191 0.565 0.500
La 0.309 0.065 0.500
La 0.353 0.792 0.000
La 0.500 0.500 0.000
La 0.647 0.208 0.000
La 0.691 0.935 0.500
La 0.809 0.435 0.500
La 0.853 0.708 0.000
Si 0.000 0.500 0.000
Si 0.500 0.000 0.000
Pb 0.076 0.827 0.500
Pb 0.424 0.327 0.500
Pb 0.576 0.673 0.500
Pb 0.924 0.173 0.500